Diffraction record for Sr4Tb3DyTe8. The PXRD pattern is theoretical, not measured: it uses a cell relaxed with PBE and Cu Ka.
Kinematic intensities with the Lorentz-polarization factor, no thermal factor.

Cell and atoms:
```
data_Sr4Tb3DyTe8
_chemical_formula_sum 'Sr12 Tb9 Dy3 Te24'
_space_group_name_H-M_alt 'R -3 m'
_space_group_IT_number 166
_space_group_name_Hall '-R 3 2"'
_cell_length_a 8.9833
_cell_length_b 8.9833
_cell_length_c 22.6521
_cell_angle_alpha 90.00
_cell_angle_beta 90.00
_cell_angle_gamma 120.00
loop_
_atom_site_label
_atom_site_type_symbol
_atom_site_fract_x
_atom_site_fract_y
_atom_site_fract_z
Sr1 Sr 0.0000 0.0000 0.0000
Sr2 Sr 0.0000 0.5000 0.0000
Tb1 Tb 0.0000 0.5000 0.5000
Dy1 Dy 0.0000 0.0000 0.5000
Te1 Te 0.0000 0.0000 0.2440
Te2 Te 0.0011 0.5006 0.2438
```

Largest 12 diffraction maxima, in order of rising 2θ, 5° ≤ 2θ ≤ 70°:
index  2θ (°)  d (Å)  I_rel
0 0 3  11.7  7.551  10
0 2 4  27.8  3.206  100
0 2 7  36.1  2.488  4
2 0 8  39.4  2.289  38
2 2 0  40.2  2.246  38
2 2 3  42.0  2.153  3
0 0 12  48.2  1.888  7
4 0 4  49.6  1.839  20
2 0 11  50.1  1.820  2
0 4 8  57.5  1.603  12
2 2 12  64.5  1.445  17
2 4 4  65.6  1.423  17

***

Diffraction record for Sr3DyTl4. The PXRD pattern is theoretical, not measured: it uses a cell relaxed with PBE and Cu Ka.
Kinematic intensities with the Lorentz-polarization factor, no thermal factor.

Cell and atoms:
```
data_Sr3DyTl4
_chemical_formula_sum 'Sr3 Dy1 Tl4'
_space_group_name_H-M_alt 'P 4/m m m'
_space_group_IT_number 123
_space_group_name_Hall '-P 4 2'
_cell_length_a 3.9873
_cell_length_b 3.9873
_cell_length_c 16.2980
_cell_angle_alpha 90.00
_cell_angle_beta 90.00
_cell_angle_gamma 90.00
loop_
_atom_site_label
_atom_site_type_symbol
_atom_site_fract_x
_atom_site_fract_y
_atom_site_fract_z
Sr1 Sr 0.0000 0.0000 0.0000
Sr2 Sr 0.0000 0.0000 0.2581
Dy1 Dy 0.0000 0.0000 0.5000
Tl1 Tl 0.5000 0.5000 0.1274
Tl2 Tl 0.5000 0.5000 0.3913
```

Largest 12 diffraction maxima, in order of rising 2θ, 5° ≤ 2θ ≤ 70°:
index  2θ (°)  d (Å)  I_rel
0 0 1  5.4  16.298  11
0 0 4  21.8  4.075  5
1 0 0  22.3  3.987  11
1 0 4  31.4  2.850  100
1 1 0  31.7  2.819  52
1 1 4  38.8  2.318  5
0 0 8  44.5  2.037  8
2 0 0  45.5  1.994  19
1 1 8  55.7  1.651  17
2 1 4  56.3  1.634  39
2 0 8  65.5  1.425  10
2 2 0  66.3  1.410  8

***

Diffraction record for SrDyZn4. The PXRD pattern is theoretical, not measured: it uses a cell relaxed with PBE and Cu Ka.
Kinematic intensities with the Lorentz-polarization factor, no thermal factor.

Cell and atoms:
```
data_SrDyZn4
_chemical_formula_sum 'Sr4 Dy4 Zn16'
_space_group_name_H-M_alt 'F -4 3 m'
_space_group_IT_number 216
_space_group_name_Hall 'F -4 2 3'
_cell_length_a 7.9319
_cell_length_b 7.9319
_cell_length_c 7.9319
_cell_angle_alpha 90.00
_cell_angle_beta 90.00
_cell_angle_gamma 90.00
loop_
_atom_site_label
_atom_site_type_symbol
_atom_site_fract_x
_atom_site_fract_y
_atom_site_fract_z
Sr1 Sr 0.0000 0.0000 0.0000
Dy1 Dy 0.2500 0.2500 0.7500
Zn1 Zn 0.1234 0.1234 0.3766
```

Largest 10 diffraction maxima, in order of rising 2θ, 5° ≤ 2θ ≤ 70°:
index  2θ (°)  d (Å)  I_rel
1 1 1  19.4  4.580  7
2 0 0  22.4  3.966  4
2 2 0  31.9  2.804  46
3 1 1  37.6  2.392  100
2 2 2  39.3  2.290  24
3 3 1  50.1  1.820  1
4 2 0  51.5  1.774  2
4 2 2  56.9  1.619  18
3 3 3  60.7  1.527  32
4 4 0  66.7  1.402  24

***

Diffraction record for DyTaTi. The PXRD pattern is theoretical, not measured: it uses a cell relaxed with PBE and Cu Ka.
Kinematic intensities with the Lorentz-polarization factor, no thermal factor.

Cell and atoms:
```
data_DyTaTi
_chemical_formula_sum 'Dy2 Ta2 Ti2'
_space_group_name_H-M_alt 'P 4/n m m'
_space_group_IT_number 129
_cell_length_a 3.5193
_cell_length_b 3.5193
_cell_length_c 10.7785
_cell_angle_alpha 90.00
_cell_angle_beta 90.00
_cell_angle_gamma 90.00
loop_
_space_group_symop_operation_xyz
'x,y,z'
'-x,-y,-z'
'-y+1/2,x,z'
'y+1/2,-x,-z'
'-x+1/2,-y+1/2,z'
'x+1/2,y+1/2,-z'
'y,-x+1/2,z'
'-y,x+1/2,-z'
'x+1/2,-y,-z'
'-x+1/2,y,z'
'-y,-x,-z'
'y,x,z'
'-x,y+1/2,-z'
'x,-y+1/2,z'
'y+1/2,x+1/2,-z'
'-y+1/2,-x+1/2,z'
loop_
_atom_site_label
_atom_site_type_symbol
_atom_site_fract_x
_atom_site_fract_y
_atom_site_fract_z
Dy1 Dy 0.2500 0.2500 0.1334
Ta1 Ta 0.2500 0.2500 0.6895
Ti1 Ti 0.2500 0.2500 0.4318
```

Largest 12 diffraction maxima, in order of rising 2θ, 5° ≤ 2θ ≤ 70°:
index  2θ (°)  d (Å)  I_rel
0 0 2  16.4  5.389  23
1 0 2  30.3  2.947  100
1 0 3  35.7  2.514  49
1 1 0  36.1  2.488  78
1 1 2  39.9  2.259  11
1 0 4  42.2  2.139  45
1 1 4  49.9  1.828  10
2 0 0  52.0  1.760  27
1 1 5  56.5  1.629  15
2 1 2  61.4  1.511  28
2 1 3  64.7  1.442  17
2 1 4  69.1  1.359  21

***

Diffraction record for TbDy6. The PXRD pattern is theoretical, not measured: it uses a cell relaxed with PBE and Cu Ka.
Kinematic intensities with the Lorentz-polarization factor, no thermal factor.

Cell and atoms:
```
data_TbDy6
_chemical_formula_sum 'Tb2 Dy12'
_space_group_name_H-M_alt 'P 4/n b m'
_space_group_IT_number 125
_cell_length_a 6.4674
_cell_length_b 6.4674
_cell_length_c 10.9502
_cell_angle_alpha 90.00
_cell_angle_beta 90.00
_cell_angle_gamma 90.00
loop_
_space_group_symop_operation_xyz
'x,y,z'
'-x,-y,-z'
'-y+1/2,x,z'
'y+1/2,-x,-z'
'-x+1/2,-y+1/2,z'
'x+1/2,y+1/2,-z'
'y,-x+1/2,z'
'-y,x+1/2,-z'
'x,-y+1/2,-z'
'-x,y+1/2,z'
'-y+1/2,-x+1/2,-z'
'y+1/2,x+1/2,z'
'-x+1/2,y,-z'
'x+1/2,-y,z'
'y,x,-z'
'-y,-x,z'
loop_
_atom_site_label
_atom_site_type_symbol
_atom_site_fract_x
_atom_site_fract_y
_atom_site_fract_z
Tb1 Tb 0.2500 0.7500 0.0000
Dy1 Dy 0.0820 0.5820 0.3620
Dy2 Dy 0.2500 0.2500 0.1398
```

Largest 12 diffraction maxima, in order of rising 2θ, 5° ≤ 2θ ≤ 70°:
index  2θ (°)  d (Å)  I_rel
2 0 1  28.8  3.101  100
1 1 3  31.4  2.853  79
2 1 1  32.0  2.796  61
0 0 4  32.7  2.738  30
2 1 2  35.1  2.557  80
2 0 3  37.1  2.420  25
2 2 0  39.4  2.287  27
3 1 0  44.3  2.045  22
2 1 5  52.4  1.746  23
3 1 4  56.1  1.638  53
4 1 2  61.5  1.509  24
3 3 3  66.4  1.407  45

***

Diffraction record for Tb5Dy4. The PXRD pattern is theoretical, not measured: it uses a cell relaxed with PBE and Cu Ka.
Kinematic intensities with the Lorentz-polarization factor, no thermal factor.

Cell and atoms:
```
data_Tb5Dy4
_chemical_formula_sum 'Tb10 Dy8'
_space_group_name_H-M_alt 'C 1 2/m 1'
_space_group_IT_number 12
_space_group_name_Hall '-C 2y'
_cell_length_a 11.7570
_cell_length_b 10.6396
_cell_length_c 5.0056
_cell_angle_alpha 90.00
_cell_angle_beta 115.11
_cell_angle_gamma 90.00
loop_
_atom_site_label
_atom_site_type_symbol
_atom_site_fract_x
_atom_site_fract_y
_atom_site_fract_z
Tb1 Tb 0.0000 0.0000 0.0000
Tb2 Tb 0.0000 0.3331 0.0000
Tb3 Tb 0.1668 0.5000 0.6668
Dy1 Dy 0.1667 0.1666 0.6667
```

Largest 8 diffraction maxima, in order of rising 2θ, 5° ≤ 2θ ≤ 70°:
index  2θ (°)  d (Å)  I_rel
2 0 1  30.9  2.894  100
3 3 0  35.8  2.507  51
6 0 0  51.5  1.773  24
5 3 -2  51.6  1.771  12
5 3 1  61.3  1.512  29
0 0 3  61.4  1.510  14
4 0 2  64.4  1.447  9
8 0 -2  64.4  1.446  3